The following is a theoretical PXRD pattern of AcTl2MoF8. It was derived from the GGA+U geometry in Alexandria, using Cu Kα.
Lines closer than 0.1° are merged.

Structure:
```
data_AcTl2MoF8
_chemical_formula_sum 'Ac1 Tl2 Mo1 F8'
_cell_length_a 4.3409
_cell_length_b 7.8482
_cell_length_c 6.5834
_cell_angle_alpha 90.00
_cell_angle_beta 94.22
_cell_angle_gamma 90.00
_space_group_name_H-M_alt 'P 1 2/m 1'
_space_group_IT_number 10
_space_group_name_Hall '-P 2y'
loop_
_atom_site_label
_atom_site_fract_x
_atom_site_fract_y
_atom_site_fract_z
Ac1 0.0000 0.0000 0.0000
Tl1 0.5000 0.2702 0.5000
Mo1 0.0000 0.5000 0.0000
F1 0.0634 0.2794 0.8094
F2 0.4065 0.5000 0.1924
F3 0.4994 0.0000 0.7932
```

Largest 6 diffraction maxima, in order of rising 2θ, 15 to 90 degrees two-theta:
d/Å, two_theta, intensity, hkl
3.743, 23.77, 67, 1 0 -1
3.498, 25.47, 59, 1 0 1
3.368, 26.46, 100, 0 2 1
2.907, 30.75, 43, 1 2 0
2.232, 40.41, 47, 1 2 -2
2.125, 42.54, 35, 1 2 2